Structure and calculated XRD peak list of Na3PrEr2S6 (the PBE geometry in Alexandria; copper Kα).
Kinematic intensities with the Lorentz-polarization factor, no thermal factor.

Atomic structure:
Unit cell a=6.968 b=6.968 c=7.082 alpha=99.45 beta=99.45 gamma=120.00
Element x y z (fractional)
Na 0.000 0.000 0.000
Na 0.334 0.666 0.000
Na 0.666 0.334 0.000
Pr 0.500 0.500 0.500
Er 0.167 0.833 0.500
Er 0.833 0.167 0.500
S 0.078 0.424 0.273
S 0.231 0.231 0.729
S 0.424 0.078 0.273
S 0.576 0.922 0.727
S 0.769 0.769 0.271
S 0.922 0.576 0.727

Top 10 peaks for 15° ≤ 2θ ≤ 90°, by angle:
26.0°, I = 44; 27.1°, I = 30; 31.3°, I = 100; 34.1°, I = 18; 40.8°, I = 19; 44.5°, I = 35; 45.1°, I = 35; 47.2°, I = 21; 55.9°, I = 18; 74.5°, I = 15

Structure and calculated XRD peak list of NaEr3S4 (the PBE geometry in Alexandria; copper Kα).
Kinematic intensities with the Lorentz-polarization factor, no thermal factor.

Atomic structure:
Unit cell a=5.486 b=5.486 c=5.486 alpha=90.00 beta=90.00 gamma=90.00
Element x y z (fractional)
Na 0.000 0.000 0.000
Er 0.000 0.500 0.500
Er 0.500 0.000 0.500
Er 0.500 0.500 0.000
S 0.000 0.000 0.500
S 0.000 0.500 0.000
S 0.500 0.000 0.000
S 0.500 0.500 0.500

Top 10 peaks for 15° ≤ 2θ ≤ 90°, by angle:
16.2°, I = 25; 22.9°, I = 22; 28.2°, I = 67; 32.6°, I = 100; 36.6°, I = 14; 46.8°, I = 71; 55.6°, I = 33; 58.3°, I = 25; 77.9°, I = 32; 87.0°, I = 25

Structure and calculated XRD peak list of NaErS2 (the PBE geometry in Alexandria; copper Kα).
Kinematic intensities with the Lorentz-polarization factor, no thermal factor.

Atomic structure:
Unit cell a=3.920 b=3.920 c=20.776 alpha=90.00 beta=90.00 gamma=120.00
Element x y z (fractional)
Na 0.000 0.000 0.000
Na 0.333 0.667 0.667
Na 0.667 0.333 0.333
Er 0.000 0.000 0.171
Er 0.333 0.667 0.838
Er 0.667 0.333 0.504
S 0.000 0.000 0.578
S 0.000 0.000 0.764
S 0.333 0.667 0.244
S 0.333 0.667 0.431
S 0.667 0.333 0.098
S 0.667 0.333 0.911

Top 10 peaks for 15° ≤ 2θ ≤ 90°, by angle:
26.6°, I = 46; 27.6°, I = 92; 31.5°, I = 25; 34.1°, I = 100; 40.4°, I = 47; 46.3°, I = 45; 48.3°, I = 29; 51.6°, I = 24; 58.8°, I = 20; 72.9°, I = 19

Structure and calculated XRD peak list of NaErTeS (the PBE geometry in Alexandria; copper Kα).
Kinematic intensities with the Lorentz-polarization factor, no thermal factor.

Atomic structure:
Unit cell a=7.136 b=4.121 c=7.873 alpha=90.00 beta=107.49 gamma=90.00
Element x y z (fractional)
Na 0.000 0.000 0.000
Na 0.500 0.500 0.000
Er 0.157 0.000 0.468
Er 0.657 0.500 0.468
Te 0.074 0.500 0.720
Te 0.574 0.000 0.720
S 0.261 0.500 0.281
S 0.761 0.000 0.281

Top 10 peaks for 15° ≤ 2θ ≤ 90°, by angle:
26.2°, I = 98; 32.0°, I = 100; 37.6°, I = 56; 43.9°, I = 48; 45.7°, I = 22; 47.7°, I = 22; 51.9°, I = 15; 55.4°, I = 21; 59.2°, I = 16; 73.3°, I = 18

Structure and calculated XRD peak list of NaErTe2S6 (the PBE geometry in Alexandria; copper Kα).
Kinematic intensities with the Lorentz-polarization factor, no thermal factor.

Atomic structure:
Unit cell a=7.841 b=7.841 c=7.841 alpha=51.09 beta=51.09 gamma=51.09
Element x y z (fractional)
Na 0.000 0.000 0.000
Er 0.491 0.491 0.491
Te 0.276 0.276 0.276
Te 0.788 0.788 0.788
S 0.083 0.445 0.681
S 0.217 0.908 0.566
S 0.445 0.681 0.083
S 0.566 0.217 0.908
S 0.681 0.083 0.445
S 0.908 0.566 0.217

Top 10 peaks for 15° ≤ 2θ ≤ 90°, by angle:
15.7°, I = 36; 17.5°, I = 30; 23.1°, I = 100; 26.4°, I = 60; 29.5°, I = 41; 35.3°, I = 39; 37.5°, I = 59; 44.6°, I = 38; 46.5°, I = 40; 47.2°, I = 20

Structure and calculated XRD peak list of Na3Er3US8 (the PBE geometry in Alexandria; copper Kα).
Kinematic intensities with the Lorentz-polarization factor, no thermal factor.

Atomic structure:
Unit cell a=8.127 b=8.127 c=8.127 alpha=58.30 beta=58.30 gamma=58.30
Element x y z (fractional)
Na 0.000 0.500 0.500
Na 0.500 0.000 0.500
Na 0.500 0.500 0.000
Er 0.000 0.000 0.500
Er 0.000 0.500 0.000
Er 0.500 0.000 0.000
U 0.500 0.500 0.500
S 0.241 0.241 0.241
S 0.242 0.738 0.738
S 0.262 0.262 0.758
S 0.262 0.758 0.262
S 0.738 0.242 0.738
S 0.738 0.738 0.242
S 0.758 0.262 0.262
S 0.759 0.759 0.759

Top 10 peaks for 15° ≤ 2θ ≤ 90°, by angle:
26.4°, I = 56; 27.5°, I = 35; 31.6°, I = 100; 34.3°, I = 23; 40.9°, I = 25; 44.6°, I = 36; 45.8°, I = 35; 47.9°, I = 28; 53.7°, I = 21; 56.7°, I = 18

Structure and calculated XRD peak list of Na3Er2SbTe6 (the PBE geometry in Alexandria; copper Kα).
Kinematic intensities with the Lorentz-polarization factor, no thermal factor.

Atomic structure:
Unit cell a=7.661 b=7.661 c=7.973 alpha=99.22 beta=99.22 gamma=120.01
Element x y z (fractional)
Na 0.000 0.000 0.000
Na 0.337 0.663 0.000
Na 0.663 0.337 0.000
Er 0.167 0.833 0.500
Er 0.833 0.167 0.500
Sb 0.500 0.500 0.500
Te 0.090 0.423 0.270
Te 0.242 0.242 0.728
Te 0.423 0.090 0.270
Te 0.577 0.910 0.730
Te 0.758 0.758 0.272
Te 0.910 0.577 0.730

Top 10 peaks for 15° ≤ 2θ ≤ 90°, by angle:
23.6°, I = 13; 28.1°, I = 100; 36.3°, I = 12; 39.6°, I = 38; 40.8°, I = 37; 50.3°, I = 27; 58.1°, I = 12; 64.9°, I = 16; 66.7°, I = 20; 73.5°, I = 12

Structure and calculated XRD peak list of NaErSc2Te4 (the PBE geometry in Alexandria; copper Kα).
Kinematic intensities with the Lorentz-polarization factor, no thermal factor.

Atomic structure:
Unit cell a=7.397 b=4.227 c=7.468 alpha=90.00 beta=108.69 gamma=90.00
Element x y z (fractional)
Na 0.000 0.000 0.000
Er 0.500 0.500 0.000
Sc 0.000 0.500 0.500
Sc 0.500 0.000 0.500
Te 0.247 0.000 0.739
Te 0.258 0.500 0.265
Te 0.742 0.500 0.735
Te 0.753 0.000 0.261

Top 10 peaks for 15° ≤ 2θ ≤ 90°, by angle:
25.7°, I = 7; 29.5°, I = 100; 41.7°, I = 13; 42.1°, I = 25; 42.4°, I = 25; 42.8°, I = 12; 52.9°, I = 13; 61.3°, I = 8; 69.3°, I = 10; 69.8°, I = 11

Structure and calculated XRD peak list of NaEr3Se4 (the PBE geometry in Alexandria; copper Kα).
Kinematic intensities with the Lorentz-polarization factor, no thermal factor.

Atomic structure:
Unit cell a=8.211 b=11.497 c=4.033 alpha=90.00 beta=90.00 gamma=90.00
Element x y z (fractional)
Na 0.000 0.000 0.000
Na 0.500 0.500 0.000
Er 0.000 0.500 0.000
Er 0.250 0.250 0.500
Er 0.250 0.750 0.500
Er 0.500 0.000 0.000
Er 0.750 0.250 0.500
Er 0.750 0.750 0.500
Se 0.000 0.251 0.000
Se 0.000 0.749 0.000
Se 0.245 0.500 0.500
Se 0.255 0.000 0.500
Se 0.500 0.249 0.000
Se 0.500 0.751 0.000
Se 0.745 0.000 0.500
Se 0.755 0.500 0.500

Top 10 peaks for 15° ≤ 2θ ≤ 90°, by angle:
31.1°, I = 100; 44.1°, I = 13; 44.6°, I = 49; 44.9°, I = 12; 55.0°, I = 13; 55.7°, I = 13; 64.8°, I = 12; 73.7°, I = 22; 81.5°, I = 8; 82.6°, I = 8

Structure and calculated XRD peak list of Na4Sm3ErSe8 (the PBE geometry in Alexandria; copper Kα).
Kinematic intensities with the Lorentz-polarization factor, no thermal factor.

Atomic structure:
Unit cell a=8.528 b=8.528 c=8.528 alpha=59.06 beta=59.06 gamma=59.06
Element x y z (fractional)
Na 0.000 0.000 0.000
Na 0.000 0.500 0.500
Na 0.500 0.000 0.500
Na 0.500 0.500 0.000
Sm 0.000 0.000 0.500
Sm 0.000 0.500 0.000
Sm 0.500 0.000 0.000
Er 0.500 0.500 0.500
Se 0.245 0.245 0.245
Se 0.250 0.741 0.741
Se 0.259 0.259 0.750
Se 0.259 0.750 0.259
Se 0.741 0.250 0.741
Se 0.741 0.741 0.250
Se 0.750 0.259 0.259
Se 0.755 0.755 0.755

Top 10 peaks for 15° ≤ 2θ ≤ 90°, by angle:
24.8°, I = 21; 29.9°, I = 100; 38.9°, I = 13; 42.4°, I = 37; 43.0°, I = 37; 45.0°, I = 12; 53.3°, I = 19; 69.9°, I = 16; 70.8°, I = 16; 78.5°, I = 12

Structure and calculated XRD peak list of NaEr4ThSe8 (the PBE geometry in Alexandria; copper Kα).
Kinematic intensities with the Lorentz-polarization factor, no thermal factor.

Atomic structure:
Unit cell a=8.493 b=8.493 c=8.493 alpha=59.12 beta=59.12 gamma=59.12
Element x y z (fractional)
Na 0.000 0.000 0.000
Er 0.367 0.367 0.884
Er 0.367 0.884 0.367
Er 0.743 0.743 0.743
Er 0.884 0.367 0.367
Th 0.368 0.368 0.368
Se 0.127 0.127 0.594
Se 0.127 0.594 0.127
Se 0.132 0.132 0.132
Se 0.141 0.618 0.618
Se 0.594 0.127 0.127
Se 0.611 0.611 0.611
Se 0.618 0.141 0.618
Se 0.618 0.618 0.141

Top 10 peaks for 15° ≤ 2θ ≤ 90°, by angle:
24.5°, I = 31; 24.8°, I = 65; 30.0°, I = 100; 39.3°, I = 29; 39.4°, I = 21; 42.6°, I = 65; 43.2°, I = 64; 53.5°, I = 19; 62.3°, I = 20; 78.8°, I = 21

Structure and calculated XRD peak list of Na2Er2TiSe6 (the PBE geometry in Alexandria; copper Kα).
Kinematic intensities with the Lorentz-polarization factor, no thermal factor.

Atomic structure:
Unit cell a=6.842 b=6.842 c=7.460 alpha=99.08 beta=99.08 gamma=119.39
Element x y z (fractional)
Na 0.172 0.828 0.000
Na 0.828 0.172 0.000
Er 0.333 0.667 0.500
Er 0.667 0.333 0.500
Ti 0.000 0.000 0.500
Se 0.076 0.385 0.719
Se 0.234 0.234 0.284
Se 0.385 0.076 0.719
Se 0.615 0.924 0.281
Se 0.766 0.766 0.716
Se 0.924 0.615 0.281

Top 10 peaks for 15° ≤ 2θ ≤ 90°, by angle:
26.4°, I = 18; 30.8°, I = 48; 31.1°, I = 100; 39.7°, I = 18; 43.1°, I = 51; 45.7°, I = 32; 46.1°, I = 16; 54.5°, I = 16; 56.5°, I = 16; 64.9°, I = 10

Structure and calculated XRD peak list of NaErUSe4 (the PBE geometry in Alexandria; copper Kα).
Kinematic intensities with the Lorentz-polarization factor, no thermal factor.

Atomic structure:
Unit cell a=8.454 b=8.454 c=8.454 alpha=120.49 beta=118.88 gamma=90.55
Element x y z (fractional)
Na 0.382 0.132 0.250
Na 0.618 0.868 0.750
Er 0.000 0.000 0.500
Er 0.000 0.500 0.000
U 0.000 0.500 0.500
U 0.500 0.500 0.000
Se 0.212 0.737 0.475
Se 0.237 0.263 0.975
Se 0.240 0.265 0.525
Se 0.240 0.715 0.975
Se 0.760 0.285 0.025
Se 0.760 0.735 0.475
Se 0.763 0.737 0.025
Se 0.788 0.263 0.525

Top 10 peaks for 15° ≤ 2θ ≤ 90°, by angle:
24.4°, I = 38; 24.8°, I = 31; 24.8°, I = 19; 29.8°, I = 100; 30.0°, I = 49; 39.2°, I = 23; 42.0°, I = 22; 42.8°, I = 83; 43.1°, I = 20; 52.5°, I = 19